1.
The following is a simulated PXRD pattern of AcHIO2. It was derived from a PBE-relaxed structure, using Cu Kα (λ = 1.5418 Å).

Atomic structure:
abc: 5.625 4.066 9.562
angles: 90.00 90.93 90.00
Fractional coordinates of all 10 atoms:
Ac 0.227 0.250 0.388
Ac 0.773 0.750 0.612
H 0.319 0.250 0.664
H 0.681 0.750 0.336
I 0.250 0.750 0.998
I 0.750 0.250 0.002
O 0.007 0.250 0.609
O 0.480 0.250 0.622
O 0.520 0.750 0.378
O 0.993 0.750 0.391

Largest 10 diffraction maxima, by intensity, 15° ≤ 2θ ≤ 90°:
two_theta	Rel. int.
28.76	100
28.57	96
18.56	38
18.43	35
28.00	34
24.64	34
31.82	34
24.24	30
47.19	28
43.23	28


2.
The following is a simulated PXRD pattern of Ac6HRh2I3. It was derived from a PBE-relaxed structure, using Cu Kα (λ = 1.5418 Å).

Atomic structure:
abc: 7.505 7.505 9.027
angles: 98.01 98.01 119.92
Fractional coordinates of all 12 atoms:
Ac 0.102 0.439 0.816
Ac 0.224 0.224 0.185
Ac 0.439 0.102 0.816
Ac 0.561 0.898 0.184
Ac 0.776 0.776 0.815
Ac 0.898 0.561 0.184
H 0.500 0.500 0.000
Rh 0.166 0.834 0.000
Rh 0.834 0.166 0.000
I 0.000 0.000 0.500
I 0.331 0.669 0.500
I 0.669 0.331 0.500

Largest 10 diffraction maxima, by intensity, 15° ≤ 2θ ≤ 90°:
two_theta	Rel. int.
27.43	100
41.67	42
29.34	29
52.80	25
36.56	23
24.69	20
51.78	19
50.62	19
33.95	17
30.94	16


3.
The following is a simulated PXRD pattern of Ac2SbH2I. It was derived from a PBE-relaxed structure, using Cu Kα (λ = 1.5418 Å).

Atomic structure:
abc: 4.429 4.429 9.313
angles: 90.00 90.00 120.00
Fractional coordinates of all 6 atoms:
Ac 0.333 0.667 0.226
Ac 0.667 0.333 0.774
Sb 0.000 0.000 0.000
H 0.333 0.667 0.744
H 0.667 0.333 0.256
I 0.000 0.000 0.500

Largest 10 diffraction maxima, by intensity, 15° ≤ 2θ ≤ 90°:
two_theta	Rel. int.
30.19	100
25.11	99
40.74	48
37.26	32
57.43	27
51.54	23
67.69	20
48.46	18
65.12	15
38.67	14


4.
The following is a simulated PXRD pattern of Ac3HIr. It was derived from a PBE-relaxed structure, using Cu Kα (λ = 1.5418 Å).

Atomic structure:
abc: 7.866 4.137 9.649
angles: 90.00 105.55 90.00
Fractional coordinates of all 10 atoms:
Ac 0.000 0.000 0.000
Ac 0.137 0.500 0.681
Ac 0.345 0.500 0.323
Ac 0.482 0.000 0.005
Ac 0.627 0.000 0.667
Ac 0.855 0.000 0.337
H 0.242 0.500 0.004
H 0.741 0.500 0.502
Ir 0.241 0.000 0.502
Ir 0.741 0.500 0.002

Largest 10 diffraction maxima, by intensity, 15° ≤ 2θ ≤ 90°:
two_theta	Rel. int.
29.20	100
28.83	72
27.70	59
27.50	50
31.56	33
26.05	32
43.77	31
40.75	27
65.60	27
41.94	24


5.
The following is a simulated PXRD pattern of AcLaH6Ir2. It was derived from a PBE-relaxed structure, using Cu Kα (λ = 1.5418 Å).

Atomic structure:
abc: 6.520 6.520 6.520
angles: 45.65 45.65 45.65
Fractional coordinates of all 10 atoms:
Ac 0.000 0.000 0.000
La 0.500 0.500 0.500
H 0.031 0.574 0.574
H 0.426 0.426 0.969
H 0.426 0.969 0.426
H 0.574 0.031 0.574
H 0.574 0.574 0.031
H 0.969 0.426 0.426
Ir 0.216 0.216 0.216
Ir 0.784 0.784 0.784

Largest 10 diffraction maxima, by intensity, 15° ≤ 2θ ≤ 90°:
two_theta	Rel. int.
28.85	100
35.49	86
46.37	35
32.76	34
59.72	29
63.73	16
20.90	15
60.04	14
56.67	14
62.02	13


6.
The following is a simulated PXRD pattern of AcH6IrPd. It was derived from a PBE-relaxed structure, using Cu Kα (λ = 1.5418 Å).

Atomic structure:
abc: 4.978 4.978 4.394
angles: 90.00 90.00 120.00
Fractional coordinates of all 9 atoms:
Ac 0.000 0.000 0.000
H 0.514 0.028 0.249
H 0.514 0.028 0.751
H 0.514 0.486 0.249
H 0.514 0.486 0.751
H 0.972 0.486 0.249
H 0.972 0.486 0.751
Ir 0.667 0.333 0.500
Pd 0.333 0.667 0.500

Largest 10 diffraction maxima, by intensity, 15° ≤ 2θ ≤ 90°:
two_theta	Rel. int.
29.02	100
36.09	53
55.82	31
46.95	27
60.61	26
41.08	12
79.74	11
83.86	11
64.89	10
67.54	9


Number 1 is which compound?
AcHIO2